Starting from a GGA-PBE-relaxed structure, the powder X-ray diffraction pattern of CeMgB12 was computed for a wavelength of 1.5418 Å.
Neutral-atom scattering factors, no anomalous dispersion.

Crystal structure
a b c (Å): 4.111 4.111 8.254
angles (deg): 90.00 90.00 90.00
Space group P4/mmm (No. 123)
Symmetry-distinct sites (fractional):
Ce: 0.000 0.000 0.000 x1
Mg: 0.000 0.000 0.500 x1
B: 0.200 0.500 0.251 x8
B: 0.500 0.500 0.100 x2
B: 0.500 0.500 0.401 x2

Most intense lines, 2θ = 10–90°, in order of rising 2θ:
| Position (°2θ) | intensity |
| --- | --- |
| 10.72 | 74.9 |
| 21.59 | 37.5 |
| 24.19 | 49.4 |
| 30.72 | 100.0 |
| 32.66 | 23.0 |
| 37.86 | 45.0 |
| 45.43 | 18.4 |
| 49.42 | 15.7 |
| 49.57 | 31.1 |
| 68.34 | 19.1 |

***

Starting from a GGA-PBE-relaxed structure, the powder X-ray diffraction pattern of CeMg4B3O12 was computed for a wavelength of 1.5418 Å.
Neutral-atom scattering factors, no anomalous dispersion.

Crystal structure
a b c (Å): 7.201 7.201 7.201
angles (deg): 90.00 90.00 90.00
Space group Im-3 (No. 204)
Symmetry-distinct sites (fractional):
Ce: 0.000 0.000 0.000 x2
Mg: 0.250 0.250 0.250 x8
B: 0.000 0.000 0.500 x6
O: 0.000 0.338 0.145 x24

Most intense lines, 2θ = 10–90°, in order of rising 2θ:
| Position (°2θ) | intensity |
| --- | --- |
| 17.42 | 100.0 |
| 30.40 | 40.2 |
| 35.25 | 72.7 |
| 39.57 | 78.3 |
| 47.23 | 70.2 |
| 54.02 | 14.8 |
| 63.26 | 43.3 |
| 66.17 | 31.1 |
| 82.59 | 14.0 |
| 85.23 | 15.6 |

***

Starting from a GGA-PBE-relaxed structure, the powder X-ray diffraction pattern of Ce2Mn17B2 was computed for a wavelength of 1.5418 Å.
Neutral-atom scattering factors, no anomalous dispersion.

Crystal structure
a b c (Å): 9.627 8.652 6.451
angles (deg): 90.00 98.71 90.00
Space group C2/m (No. 12)
Symmetry-distinct sites (fractional):
Ce: 0.139 0.000 0.338 x4
Mn: 0.000 0.228 0.000 x4
Mn: 0.000 0.500 0.500 x2
Mn: 0.096 0.262 0.664 x8
Mn: 0.105 0.500 0.899 x4
Mn: 0.140 0.365 0.272 x8
Mn: 0.153 0.000 0.863 x4
Mn: 0.250 0.250 0.000 x4
B: 0.250 0.250 0.500 x4

Most intense lines, 2θ = 10–90°, in order of rising 2θ:
| Position (°2θ) | intensity |
| --- | --- |
| 29.98 | 63.0 |
| 31.30 | 31.6 |
| 36.02 | 41.6 |
| 37.77 | 77.2 |
| 41.76 | 46.7 |
| 41.99 | 90.4 |
| 42.36 | 100.0 |
| 42.53 | 49.0 |
| 43.38 | 41.5 |
| 43.90 | 75.5 |

***

Starting from a GGA-PBE-relaxed structure, the powder X-ray diffraction pattern of Ce3MnB2Rh9 was computed for a wavelength of 1.5418 Å.
Neutral-atom scattering factors, no anomalous dispersion.

Crystal structure
a b c (Å): 5.8136 5.8136 8.4635
angles (deg): 90.00 90.00 120.00
Space group P-3m1 (No. 164)
Symmetry-distinct sites (fractional):
Ce: 0.0000 0.0000 0.0000 x1
Ce: 0.3333 0.6667 0.6493 x2
Mn: 0.0000 0.0000 0.5000 x1
B: 0.3333 0.6667 0.1489 x2
Rh: 0.0000 0.5000 0.0000 x3
Rh: 0.1650 0.3299 0.2879 x6

Most intense lines, 2θ = 10–90°, in order of rising 2θ:
| Position (°2θ) | intensity |
| --- | --- |
| 27.53 | 7.5 |
| 31.72 | 35.7 |
| 37.27 | 100.0 |
| 41.75 | 83.6 |
| 56.84 | 19.4 |
| 64.07 | 25.1 |
| 66.57 | 10.5 |
| 73.26 | 18.7 |
| 76.52 | 11.9 |
| 79.44 | 12.2 |

***

Starting from a GGA-PBE-relaxed structure, the powder X-ray diffraction pattern of CeB4Mo was computed for a wavelength of 1.5418 Å.
Neutral-atom scattering factors, no anomalous dispersion.

Crystal structure
a b c (Å): 6.054 11.713 3.710
angles (deg): 90.00 90.00 90.00
Space group Pbam (No. 55)
Symmetry-distinct sites (fractional):
Ce: 0.125 0.151 0.000 x4
B: 0.025 0.692 0.500 x4
B: 0.113 0.547 0.500 x4
B: 0.136 0.968 0.500 x4
B: 0.214 0.815 0.500 x4
Mo: 0.130 0.415 0.000 x4

Most intense lines, 2θ = 10–90°, in order of rising 2θ:
| Position (°2θ) | intensity |
| --- | --- |
| 23.99 | 81.7 |
| 27.18 | 21.5 |
| 30.51 | 78.5 |
| 36.56 | 25.8 |
| 37.60 | 21.4 |
| 39.18 | 100.0 |
| 42.05 | 29.1 |
| 45.10 | 31.6 |
| 49.11 | 22.0 |
| 58.93 | 24.3 |

***

Starting from a GGA-PBE-relaxed structure, the powder X-ray diffraction pattern of CeB3Mo was computed for a wavelength of 1.5418 Å.
Neutral-atom scattering factors, no anomalous dispersion.

Crystal structure
a b c (Å): 7.063 9.973 3.555
angles (deg): 90.00 90.00 90.00
Space group Cmmm (No. 65)
Symmetry-distinct sites (fractional):
Ce: 0.000 0.000 0.000 x2
Ce: 0.000 0.500 0.000 x2
B: 0.000 0.193 0.500 x4
B: 0.216 0.092 0.500 x8
Mo: 0.250 0.250 0.000 x4

Most intense lines, 2θ = 10–90°, in order of rising 2θ:
| Position (°2θ) | intensity |
| --- | --- |
| 25.05 | 63.2 |
| 31.03 | 83.8 |
| 36.02 | 28.7 |
| 40.29 | 100.0 |
| 44.38 | 37.0 |
| 51.77 | 13.3 |
| 61.27 | 23.9 |
| 61.67 | 14.4 |
| 67.64 | 16.9 |
| 70.52 | 17.8 |

***

Starting from a GGA-PBE-relaxed structure, the powder X-ray diffraction pattern of Ce3B2N4 was computed for a wavelength of 1.5418 Å.
Neutral-atom scattering factors, no anomalous dispersion.

Crystal structure
a b c (Å): 3.517 6.216 10.558
angles (deg): 90.00 90.00 90.00
Space group Immm (No. 71)
Symmetry-distinct sites (fractional):
Ce: 0.000 0.000 0.000 x2
Ce: 0.000 0.500 0.197 x4
B: 0.000 0.143 0.500 x4
N: 0.000 0.261 0.378 x8

Most intense lines, 2θ = 10–90°, in order of rising 2θ:
| Position (°2θ) | intensity |
| --- | --- |
| 26.72 | 19.7 |
| 28.72 | 36.1 |
| 29.16 | 80.6 |
| 33.85 | 100.0 |
| 39.63 | 35.1 |
| 50.41 | 22.9 |
| 51.16 | 19.9 |
| 54.24 | 23.0 |
| 59.05 | 22.3 |
| 60.74 | 18.1 |

***

Starting from a GGA-PBE-relaxed structure, the powder X-ray diffraction pattern of Ce5BN8 was computed for a wavelength of 1.5418 Å.
Neutral-atom scattering factors, no anomalous dispersion.

Crystal structure
a b c (Å): 7.775 7.775 7.358
angles (deg): 90.00 90.00 90.00
Space group I-4 (No. 82)
Symmetry-distinct sites (fractional):
Ce: 0.000 0.000 0.000 x2
Ce: 0.218 0.770 0.627 x8
B: 0.000 0.500 0.250 x2
N: 0.037 0.766 0.846 x8
N: 0.052 0.678 0.359 x8

Most intense lines, 2θ = 10–90°, in order of rising 2θ:
| Position (°2θ) | intensity |
| --- | --- |
| 22.88 | 45.3 |
| 28.39 | 46.2 |
| 29.21 | 100.0 |
| 32.57 | 42.4 |
| 36.77 | 17.4 |
| 44.31 | 62.5 |
| 46.73 | 18.5 |
| 55.24 | 26.2 |
| 56.85 | 14.5 |
| 75.20 | 14.6 |